This entry pairs a crystal structure of NiRhO3 with its calculated PXRD pattern. Radiation: Cu Kα (λ = 1.5418 Å). Structure: a cell relaxed with GGA+U.
Peak positions follow from Bragg's law for the DFT cell and can differ from measured ones.

Structural model:
```
5
Lattice="-1.528 1.982 4.691 1.528 -1.982 4.691 1.528 1.982 -4.691" Properties=species:S:1:pos:R:3 pbc="T T T"
Ni 0.000 0.000 0.000
Rh 0.000 0.000 2.878
O 1.528 0.000 1.562
O 1.528 0.000 4.238
O 0.000 1.982 3.324
```

Most intense lines, 10° ≤ 2θ ≤ 90°, by angle:
2theta	intensity
18.92	52
24.37	100
30.76	42
36.60	43
37.14	40
41.30	84
54.47	41
63.33	42